Entry 1:
For Ba7Rh2Br2, a cell relaxed with PBE gives the computed PXRD pattern in this record (a wavelength of 1.5418 Å).
Neutral-atom scattering factors, no anomalous dispersion.

Principal peaks in the range 10 to 90 degrees two-theta, by angle:
- 11.1 deg, d 7.946, intensity 47
- 16.6 deg, d 5.351, intensity 100
- 24.4 deg, d 3.653, intensity 47
- 24.5 deg, d 3.633, intensity 53
- 26.0 deg, d 3.425, intensity 92
- 28.9 deg, d 3.087, intensity 83
- 29.3 deg, d 3.051, intensity 48
- 43.7 deg, d 2.072, intensity 72

Structural model:
```
Ba7Rh2Br2
1.0
4.9137 -6.8448 0.0000
4.9137 6.8448 0.0000
-1.0210 0.0000 8.5818
Ba Rh Br
7 2 2
Direct
0.0000 0.0000 0.0000
0.0614 0.4586 0.7663
0.4233 0.4233 0.2105
0.4586 0.0614 0.7663
0.5414 0.9386 0.2337
0.5767 0.5767 0.7895
0.9386 0.5414 0.2337
0.2763 0.2763 0.8793
0.7237 0.7237 0.1207
0.2983 0.7017 0.5000
0.7017 0.2983 0.5000
```

Entry 2:
For Pa2TiSi4Ni3, a cell relaxed with PBE gives the computed PXRD pattern in this record (a wavelength of 1.5418 Å).
Neutral-atom scattering factors, no anomalous dispersion.

Principal peaks in the range 10 to 90 degrees two-theta, by angle:
- 17.9 deg, d 4.956, intensity 27
- 24.0 deg, d 3.704, intensity 73
- 31.7 deg, d 2.824, intensity 42
- 35.3 deg, d 2.546, intensity 92
- 36.6 deg, d 2.453, intensity 100
- 45.4 deg, d 1.997, intensity 46
- 51.5 deg, d 1.776, intensity 29
- 58.8 deg, d 1.571, intensity 42

Structural model:
```
Pa2TiSi4Ni3
1.0
3.9933 0.0000 0.0000
0.0000 3.9933 0.0000
0.0000 0.0000 9.9129
Pa Ti Si Ni
2 1 4 3
Direct
0.0000 0.5000 0.2391
0.5000 0.0000 0.7609
0.0000 0.0000 0.5000
0.0000 0.0000 0.0000
0.0000 0.5000 0.6515
0.5000 0.0000 0.3485
0.5000 0.5000 0.0000
0.0000 0.5000 0.8839
0.5000 0.0000 0.1161
0.5000 0.5000 0.5000
```

Entry 3:
For Tb2ErTm3Se6, a cell relaxed with PBE gives the computed PXRD pattern in this record (a wavelength of 1.5418 Å).
Neutral-atom scattering factors, no anomalous dispersion.

Principal peaks in the range 10 to 90 degrees two-theta, by angle:
- 27.1 deg, d 3.295, intensity 17
- 31.3 deg, d 2.861, intensity 100
- 44.6 deg, d 2.031, intensity 37
- 45.0 deg, d 2.015, intensity 37
- 55.8 deg, d 1.647, intensity 19
- 73.8 deg, d 1.284, intensity 11
- 74.4 deg, d 1.276, intensity 11
- 82.7 deg, d 1.167, intensity 8

Structural model:
```
Tb2ErTm3Se6
1.0
8.8296 -2.0155 0.0000
8.8296 2.0155 0.0000
-1.9559 0.0000 7.8933
Tb Er Tm Se
2 1 3 6
Direct
0.1679 0.1679 0.3353
0.8321 0.8321 0.6647
0.5000 0.5000 0.0000
0.1683 0.1683 0.8331
0.5000 0.5000 0.5000
0.8317 0.8317 0.1669
0.0020 0.0020 0.7498
0.3337 0.3337 0.9221
0.3357 0.3357 0.4123
0.6643 0.6643 0.5877
0.6663 0.6663 0.0779
0.9980 0.9980 0.2502
```

Entry 4:
For CeCdSnGe, a cell relaxed with PBE gives the computed PXRD pattern in this record (a wavelength of 1.5418 Å).
Neutral-atom scattering factors, no anomalous dispersion.

Principal peaks in the range 10 to 90 degrees two-theta, by angle:
- 34.2 deg, d 2.624, intensity 100
- 36.9 deg, d 2.435, intensity 20
- 40.2 deg, d 2.241, intensity 16
- 41.7 deg, d 2.167, intensity 14
- 55.7 deg, d 1.649, intensity 12
- 64.8 deg, d 1.440, intensity 15
- 69.3 deg, d 1.357, intensity 13
- 71.3 deg, d 1.323, intensity 12

Structural model:
```
CeCdSnGe
1.0
4.3330 0.0000 0.0000
0.0000 4.4829 0.0000
0.0000 0.0000 4.8698
Ce Cd Sn Ge
1 1 1 1
Direct
0.0000 0.0000 0.0000
0.0000 0.5000 0.5000
0.5000 0.0000 0.5000
0.5000 0.5000 0.0000
```